This entry pairs a crystal structure of TmAsO4 with its theoretical PXRD pattern. Radiation: Cu Kα (λ = 1.5418 Å). Structure: a PBE-relaxed structure.

Top 8 peaks for 2θ from 10° to 90°, in order of falling intensity:
- 2θ = 29.22°, d = 3.057 Å, intensity 100, hkl 0 2 1
- 2θ = 30.82°, d = 2.901 Å, intensity 56, hkl 2 1 -2
- 2θ = 27.59°, d = 3.233 Å, intensity 52, hkl 0 0 2
- 2θ = 30.50°, d = 2.931 Å, intensity 36, hkl 2 1 -1
- 2θ = 46.98°, d = 1.934 Å, intensity 27, hkl 2 1 -4
- 2θ = 33.64°, d = 2.664 Å, intensity 26, hkl 2 0 0
- 2θ = 51.46°, d = 1.776 Å, intensity 25, hkl 2 2 1
- 2θ = 48.38°, d = 1.881 Å, intensity 22, hkl 2 3 -1

Atomic structure:
```
data_TmAsO4
_chemical_formula_sum 'Tm4 As4 O16'
_cell_length_a 6.6385
_cell_length_b 6.9377
_cell_length_c 8.0563
_cell_angle_alpha 90.00
_cell_angle_beta 126.62
_cell_angle_gamma 90.00
_symmetry_space_group_name_H-M 'P 1 21/c 1'
_symmetry_Int_Tables_number 14
loop_
_symmetry_equiv_pos_as_xyz
'x,y,z'
'-x,-y,-z'
'-x,y+1/2,-z+1/2'
'x,-y+1/2,z+1/2'
loop_
_atom_site_label
_atom_site_fract_x
_atom_site_fract_y
_atom_site_fract_z
_atom_site_occupancy
Tm1 0.1957 0.1437 0.2807 1
As1 0.3109 0.6603 0.1998 1
O1 0.1071 0.6478 0.6004 1
O2 0.1592 0.0091 0.7453 1
O3 0.3586 0.6036 0.0171 1
O4 0.3796 0.2146 0.1090 1
```